Entry 1:
# PrSm8Sc3
Computed X-ray diffraction stick pattern, Cu Kα (weighted mean of Kα1 and Kα2). Input: the PBE geometry in Alexandria.

Crystal structure
```
data_PrSm8Sc3
_cell_length_a 10.8053
_cell_length_b 11.3349
_cell_length_c 6.2232
_cell_angle_alpha 90.00
_cell_angle_beta 90.00
_cell_angle_gamma 90.00
_symmetry_space_group_name_H-M 'I m m 2'
_symmetry_Int_Tables_number 44
loop_
_symmetry_equiv_pos_as_xyz
'x,y,z'
'-x,-y,z'
'-x,y,z'
'x,-y,z'
'x+1/2,y+1/2,z+1/2'
'-x+1/2,-y+1/2,z+1/2'
'-x+1/2,y+1/2,z+1/2'
'x+1/2,-y+1/2,z+1/2'
loop_
_atom_site_label
_atom_site_fract_x
_atom_site_fract_y
_atom_site_fract_z
Pr1 0.0000 0.0000 0.0000
Sm1 0.1590 0.5000 0.5209
Sm2 0.1641 0.0000 0.5126
Sm3 0.1637 0.2551 0.1751
Sc1 0.0000 0.2531 0.6829
Sc2 0.0000 0.5000 0.0040
```

Largest 12 diffraction maxima, by intensity, 15° ≤ 2θ ≤ 90°:
- 2θ = 32.8°, intensity 100.0, hkl 3 2 1
- 2θ = 31.6°, intensity 24.6, hkl 0 4 0
- 2θ = 28.7°, intensity 24.1, hkl 0 0 2
- 2θ = 61.0°, intensity 21.7, hkl 3 4 3
- 2θ = 57.0°, intensity 20.1, hkl 3 6 1
- 2θ = 50.8°, intensity 19.1, hkl 3 0 3
- 2θ = 43.2°, intensity 15.7, hkl 0 4 2
- 2θ = 22.8°, intensity 11.1, hkl 1 2 1
- 2θ = 61.7°, intensity 10.2, hkl 6 2 2
- 2θ = 84.0°, intensity 8.6, hkl 6 2 4
- 2θ = 87.7°, intensity 7.9, hkl 3 8 3
- 2θ = 16.4°, intensity 6.6, hkl 2 0 0



Entry 2:
# Pr8Sm4Sc
Computed X-ray diffraction stick pattern, Cu Kα (weighted mean of Kα1 and Kα2). Input: the PBE geometry in Alexandria.

Crystal structure
```
data_Pr8Sm4Sc
_cell_length_a 11.8957
_cell_length_b 11.8957
_cell_length_c 11.6414
_cell_angle_alpha 90.00
_cell_angle_beta 90.00
_cell_angle_gamma 120.00
_symmetry_space_group_name_H-M 'R -3 m'
_symmetry_Int_Tables_number 166
_symmetry_space_group_name_Hall '-R 3 2"'
loop_
_atom_site_label
_atom_site_fract_x
_atom_site_fract_y
_atom_site_fract_z
Pr1 0.0000 0.0000 0.2480
Pr2 0.0011 0.5006 0.3304
Sm1 0.0000 0.0000 0.0000
Sm2 0.0000 0.5000 0.0000
Sc1 0.0000 0.0000 0.5000
```

Largest 12 diffraction maxima, by intensity, 15° ≤ 2θ ≤ 90°:
- 2θ = 30.0°, intensity 100.0, hkl 2 2 0
- 2θ = 38.1°, intensity 64.9, hkl 2 2 3
- 2θ = 22.9°, intensity 40.3, hkl 0 0 3
- 2θ = 53.4°, intensity 19.9, hkl 6 0 0
- 2θ = 58.8°, intensity 18.4, hkl 6 0 3
- 2θ = 56.6°, intensity 15.4, hkl 2 2 6
- 2θ = 62.5°, intensity 12.3, hkl 4 4 0
- 2θ = 67.5°, intensity 12.2, hkl 4 4 3
- 2θ = 86.6°, intensity 10.1, hkl 8 2 0
- 2θ = 27.4°, intensity 9.2, hkl 1 1 3
- 2θ = 73.7°, intensity 8.1, hkl 6 0 6
- 2θ = 81.1°, intensity 7.7, hkl 2 2 9



Entry 3:
# Pr2Sm2Sc3
Computed X-ray diffraction stick pattern, Cu Kα (weighted mean of Kα1 and Kα2). Input: the PBE geometry in Alexandria.

Crystal structure
```
data_Pr2Sm2Sc3
_cell_length_a 6.1639
_cell_length_b 11.1729
_cell_length_c 6.2648
_cell_angle_alpha 90.00
_cell_angle_beta 94.32
_cell_angle_gamma 90.00
_symmetry_space_group_name_H-M 'P 1 21/c 1'
_symmetry_Int_Tables_number 14
loop_
_symmetry_equiv_pos_as_xyz
'x,y,z'
'-x,-y,-z'
'-x,y+1/2,-z+1/2'
'x,-y+1/2,z+1/2'
loop_
_atom_site_label
_atom_site_fract_x
_atom_site_fract_y
_atom_site_fract_z
Pr1 0.0477 0.1536 0.4596
Sm1 0.4108 0.7216 0.7226
Sc1 0.2450 0.0284 0.9538
Sc2 0.5000 0.0000 0.5000
```

Largest 12 diffraction maxima, by intensity, 15° ≤ 2θ ≤ 90°:
- 2θ = 32.0°, intensity 100.0, hkl 1 3 1
- 2θ = 30.2°, intensity 89.3, hkl 2 1 0
- 2θ = 15.9°, intensity 78.4, hkl 0 2 0
- 2θ = 35.1°, intensity 76.4, hkl 1 2 -2
- 2θ = 35.3°, intensity 71.4, hkl 1 4 0
- 2θ = 27.9°, intensity 50.4, hkl 0 3 1
- 2θ = 33.1°, intensity 48.5, hkl 1 0 2
- 2θ = 31.1°, intensity 40.7, hkl 1 0 -2
- 2θ = 32.9°, intensity 38.5, hkl 0 2 2
- 2θ = 25.2°, intensity 37.5, hkl 1 2 -1
- 2θ = 32.5°, intensity 36.7, hkl 2 1 -1
- 2θ = 37.8°, intensity 34.8, hkl 1 4 -1



Entry 4:
# PrSm4Sc5
Computed X-ray diffraction stick pattern, Cu Kα (weighted mean of Kα1 and Kα2). Input: the PBE geometry in Alexandria.

Crystal structure
```
data_PrSm4Sc5
_cell_length_a 10.1122
_cell_length_b 10.1122
_cell_length_c 5.8513
_cell_angle_alpha 90.00
_cell_angle_beta 90.00
_cell_angle_gamma 90.00
_symmetry_space_group_name_H-M 'I 4 m m'
_symmetry_Int_Tables_number 107
_symmetry_space_group_name_Hall 'I 4 -2'
loop_
_atom_site_label
_atom_site_fract_x
_atom_site_fract_y
_atom_site_fract_z
Pr1 0.0000 0.0000 0.0000
Sm1 0.0000 0.3247 0.2830
Sc1 0.0000 0.0000 0.4772
Sc2 0.1901 0.1901 0.7187
```

Largest 12 diffraction maxima, by intensity, 15° ≤ 2θ ≤ 90°:
- 2θ = 30.6°, intensity 100.0, hkl 3 0 1
- 2θ = 24.9°, intensity 49.1, hkl 2 1 1
- 2θ = 37.7°, intensity 37.8, hkl 3 3 0
- 2θ = 51.0°, intensity 27.9, hkl 4 2 2
- 2θ = 54.4°, intensity 26.8, hkl 6 0 0
- 2θ = 39.8°, intensity 26.8, hkl 2 2 2
- 2θ = 33.1°, intensity 22.8, hkl 1 1 2
- 2θ = 63.7°, intensity 21.6, hkl 6 3 1
- 2θ = 17.5°, intensity 16.5, hkl 2 0 0
- 2θ = 27.9°, intensity 16.3, hkl 3 1 0
- 2θ = 35.5°, intensity 14.5, hkl 4 0 0
- 2θ = 56.0°, intensity 12.7, hkl 5 1 2



Entry 5:
# Pr2Sm6Sc3
Computed X-ray diffraction stick pattern, Cu Kα (weighted mean of Kα1 and Kα2). Input: the PBE geometry in Alexandria.

Crystal structure
```
data_Pr2Sm6Sc3
_cell_length_a 5.9703
_cell_length_b 8.3652
_cell_length_c 8.4464
_cell_angle_alpha 106.31
_cell_angle_beta 107.62
_cell_angle_gamma 107.67
_symmetry_space_group_name_H-M 'P -1'
_symmetry_Int_Tables_number 2
loop_
_symmetry_equiv_pos_as_xyz
'x,y,z'
'-x,-y,-z'
loop_
_atom_site_label
_atom_site_fract_x
_atom_site_fract_y
_atom_site_fract_z
Pr1 0.0431 0.3175 0.3578
Sm1 0.0803 0.1444 0.7105
Sm2 0.3438 0.9512 0.1208
Sm3 0.4878 0.5940 0.8342
Sc1 0.0000 0.5000 0.0000
Sc2 0.4370 0.7714 0.4394
```

Largest 12 diffraction maxima, by intensity, 15° ≤ 2θ ≤ 90°:
- 2θ = 31.6°, intensity 100.0, hkl 0 2 1
- 2θ = 31.8°, intensity 81.3, hkl 1 2 -2
- 2θ = 33.2°, intensity 72.0, hkl 1 0 -3
- 2θ = 32.9°, intensity 65.9, hkl 1 -3 1
- 2θ = 31.3°, intensity 58.8, hkl 1 -1 2
- 2θ = 30.1°, intensity 51.9, hkl -2 1 1
- 2θ = 33.5°, intensity 29.5, hkl -2 2 1
- 2θ = 16.3°, intensity 26.8, hkl 1 0 -1
- 2θ = 34.8°, intensity 26.7, hkl 2 0 0
- 2θ = 58.2°, intensity 25.8, hkl -1 2 4
- 2θ = 48.4°, intensity 20.4, hkl 0 3 -4
- 2θ = 25.0°, intensity 20.2, hkl 1 0 1



Entry 6:
# Pr5Sm6Sc2
Computed X-ray diffraction stick pattern, Cu Kα (weighted mean of Kα1 and Kα2). Input: the PBE geometry in Alexandria.

Crystal structure
```
data_Pr5Sm6Sc2
_cell_length_a 10.9147
_cell_length_b 22.7288
_cell_length_c 3.5508
_cell_angle_alpha 90.00
_cell_angle_beta 90.00
_cell_angle_gamma 90.00
_symmetry_space_group_name_H-M 'P b a m'
_symmetry_Int_Tables_number 55
loop_
_symmetry_equiv_pos_as_xyz
'x,y,z'
'-x,-y,-z'
'-x,-y,z'
'x,y,-z'
'x+1/2,-y+1/2,-z'
'-x+1/2,y+1/2,z'
'-x+1/2,y+1/2,-z'
'x+1/2,-y+1/2,z'
loop_
_atom_site_label
_atom_site_fract_x
_atom_site_fract_y
_atom_site_fract_z
Pr1 0.0000 0.0000 0.0000
Pr2 0.0865 0.2520 0.0000
Pr3 0.1671 0.5076 0.0000
Sm1 0.0309 0.3864 0.5000
Sm2 0.1388 0.1179 0.5000
Sm3 0.1649 0.8602 0.0000
Sc1 0.1639 0.7295 0.5000
```

Largest 12 diffraction maxima, by intensity, 15° ≤ 2θ ≤ 90°:
- 2θ = 31.5°, intensity 100.0, hkl 0 8 0
- 2θ = 27.2°, intensity 60.7, hkl 3 3 0
- 2θ = 32.3°, intensity 58.4, hkl 2 3 1
- 2θ = 29.7°, intensity 47.2, hkl 0 4 1
- 2θ = 35.6°, intensity 36.3, hkl 3 1 1
- 2θ = 36.1°, intensity 32.8, hkl 2 5 1
- 2θ = 61.6°, intensity 31.1, hkl 0 8 2
- 2θ = 27.6°, intensity 23.8, hkl 1 2 1
- 2θ = 34.0°, intensity 20.6, hkl 2 4 1
- 2θ = 55.0°, intensity 20.2, hkl 0 12 1
- 2θ = 32.1°, intensity 17.0, hkl 2 7 0
- 2θ = 51.5°, intensity 16.9, hkl 0 0 2



Entry 7:
# Pr3SmSc
Computed X-ray diffraction stick pattern, Cu Kα (weighted mean of Kα1 and Kα2). Input: the PBE geometry in Alexandria.

Crystal structure
```
data_Pr3SmSc
_cell_length_a 11.7954
_cell_length_b 11.9425
_cell_length_c 9.6489
_cell_angle_alpha 90.00
_cell_angle_beta 90.00
_cell_angle_gamma 90.00
_symmetry_space_group_name_H-M 'C m c e'
_symmetry_Int_Tables_number 64
_symmetry_space_group_name_Hall '-C 2ac 2'
loop_
_atom_site_label
_atom_site_fract_x
_atom_site_fract_y
_atom_site_fract_z
Pr1 0.0000 0.0897 0.1943
Pr2 0.1765 0.1379 0.9066
Sm1 0.0000 0.1382 0.5647
Sc1 0.2500 0.1158 0.2500
```

Largest 12 diffraction maxima, by intensity, 15° ≤ 2θ ≤ 90°:
- 2θ = 30.3°, intensity 100.0, hkl 3 1 2
- 2θ = 31.6°, intensity 98.1, hkl 0 2 3
- 2θ = 29.9°, intensity 61.4, hkl 0 4 0
- 2θ = 33.3°, intensity 60.4, hkl 3 3 1
- 2θ = 25.6°, intensity 48.6, hkl 3 1 1
- 2θ = 37.2°, intensity 36.2, hkl 3 3 2
- 2θ = 48.4°, intensity 28.4, hkl 3 5 2
- 2θ = 57.0°, intensity 23.4, hkl 6 2 3
- 2θ = 29.7°, intensity 19.6, hkl 1 1 3
- 2θ = 23.1°, intensity 19.1, hkl 2 2 1
- 2θ = 53.4°, intensity 18.6, hkl 3 1 5
- 2θ = 59.9°, intensity 18.1, hkl 3 7 1



Entry 8:
# TbPrSm2Sc
Computed X-ray diffraction stick pattern, Cu Kα (weighted mean of Kα1 and Kα2). Input: the PBE geometry in Alexandria.

Crystal structure
```
data_TbPrSm2Sc
_cell_length_a 6.2282
_cell_length_b 7.8493
_cell_length_c 6.6726
_cell_angle_alpha 90.00
_cell_angle_beta 90.00
_cell_angle_gamma 90.00
_symmetry_space_group_name_H-M 'P m m a'
_symmetry_Int_Tables_number 51
loop_
_symmetry_equiv_pos_as_xyz
'x,y,z'
'-x,-y,-z'
'-x+1/2,-y,z'
'x+1/2,y,-z'
'x+1/2,-y,-z'
'-x+1/2,y,z'
'-x,y,-z'
'x,-y,z'
loop_
_atom_site_label
_atom_site_fract_x
_atom_site_fract_y
_atom_site_fract_z
Tb1 0.2500 0.0000 0.0982
Pr1 0.2500 0.5000 0.3054
Sm1 0.2500 0.2892 0.7830
Sc1 0.0000 0.0000 0.5000
```

Largest 12 diffraction maxima, by intensity, 15° ≤ 2θ ≤ 90°:
- 2θ = 30.1°, intensity 100.0, hkl 1 2 1
- 2θ = 28.7°, intensity 37.1, hkl 2 0 0
- 2θ = 32.5°, intensity 25.3, hkl 1 1 2
- 2θ = 51.7°, intensity 22.1, hkl 3 2 1
- 2θ = 29.1°, intensity 17.5, hkl 0 1 2
- 2θ = 39.6°, intensity 14.4, hkl 2 0 2
- 2θ = 33.8°, intensity 13.5, hkl 2 1 1
- 2θ = 26.7°, intensity 11.8, hkl 0 0 2
- 2θ = 39.7°, intensity 11.6, hkl 1 3 1
- 2θ = 56.3°, intensity 11.0, hkl 1 3 3
- 2θ = 17.4°, intensity 10.5, hkl 0 1 1
- 2θ = 57.2°, intensity 9.1, hkl 1 0 4



Entry 9:
# PrSm2ThSc4
Computed X-ray diffraction stick pattern, Cu Kα (weighted mean of Kα1 and Kα2). Input: the PBE geometry in Alexandria.

Crystal structure
```
data_PrSm2ThSc4
_cell_length_a 5.0583
_cell_length_b 5.0691
_cell_length_c 9.0158
_cell_angle_alpha 90.00
_cell_angle_beta 90.00
_cell_angle_gamma 90.00
_symmetry_space_group_name_H-M 'P m m m'
_symmetry_Int_Tables_number 47
loop_
_symmetry_equiv_pos_as_xyz
'x,y,z'
'-x,-y,-z'
'-x,-y,z'
'x,y,-z'
'x,-y,-z'
'-x,y,z'
'-x,y,-z'
'x,-y,z'
loop_
_atom_site_label
_atom_site_fract_x
_atom_site_fract_y
_atom_site_fract_z
Pr1 0.0000 0.0000 0.0000
Sm1 0.0000 0.0000 0.5000
Sm2 0.5000 0.5000 0.0000
Th1 0.5000 0.5000 0.5000
Sc1 0.0000 0.5000 0.2548
Sc2 0.5000 0.0000 0.2552
```

Largest 12 diffraction maxima, by intensity, 15° ≤ 2θ ≤ 90°:
- 2θ = 31.9°, intensity 100.0, hkl 1 1 2
- 2θ = 35.5°, intensity 37.7, hkl 2 0 0
- 2θ = 24.9°, intensity 30.3, hkl 1 1 0
- 2θ = 19.7°, intensity 26.1, hkl 0 0 2
- 2θ = 40.9°, intensity 17.2, hkl 2 0 2
- 2θ = 61.4°, intensity 15.0, hkl 1 3 2
- 2θ = 61.5°, intensity 14.9, hkl 3 1 2
- 2θ = 40.0°, intensity 13.4, hkl 0 0 4
- 2θ = 51.0°, intensity 13.2, hkl 2 2 0
- 2θ = 66.7°, intensity 11.6, hkl 2 2 4
- 2θ = 47.7°, intensity 11.3, hkl 1 1 4
- 2θ = 67.6°, intensity 11.1, hkl 1 1 6



Entry 10:
# PrSm2ScTl2
Computed X-ray diffraction stick pattern, Cu Kα (weighted mean of Kα1 and Kα2). Input: the PBE geometry in Alexandria.

Crystal structure
```
data_PrSm2ScTl2
_cell_length_a 5.0519
_cell_length_b 9.9846
_cell_length_c 7.0504
_cell_angle_alpha 90.00
_cell_angle_beta 90.00
_cell_angle_gamma 90.00
_symmetry_space_group_name_H-M 'P m c 21'
_symmetry_Int_Tables_number 26
loop_
_symmetry_equiv_pos_as_xyz
'x,y,z'
'-x,-y,z+1/2'
'-x,y,z'
'x,-y,z+1/2'
loop_
_atom_site_label
_atom_site_fract_x
_atom_site_fract_y
_atom_site_fract_z
Pr1 0.0000 0.0484 0.0000
Sm1 0.0000 0.3165 0.3869
Sm2 0.5000 0.4489 0.0961
Sc1 0.5000 0.1945 0.7085
Tl1 0.0000 0.3580 0.8340
Tl2 0.5000 0.1214 0.2784
```

Largest 12 diffraction maxima, by intensity, 15° ≤ 2θ ≤ 90°:
- 2θ = 32.2°, intensity 100.0, hkl 1 3 0
- 2θ = 35.5°, intensity 30.9, hkl 2 0 0
- 2θ = 30.9°, intensity 26.1, hkl 1 0 2
- 2θ = 34.7°, intensity 22.4, hkl 1 3 1
- 2θ = 61.7°, intensity 15.6, hkl 3 3 0
- 2θ = 21.8°, intensity 12.6, hkl 0 2 1
- 2θ = 23.4°, intensity 12.3, hkl 1 1 1
- 2θ = 29.7°, intensity 11.7, hkl 0 3 1
- 2θ = 42.5°, intensity 11.5, hkl 0 2 3
- 2θ = 56.8°, intensity 10.5, hkl 0 6 1
- 2θ = 56.6°, intensity 10.0, hkl 2 2 3
- 2θ = 28.1°, intensity 10.0, hkl 1 2 1



Entry 11:
# Pr2Sm4TmSc
Computed X-ray diffraction stick pattern, Cu Kα (weighted mean of Kα1 and Kα2). Input: the PBE geometry in Alexandria.

Crystal structure
```
data_Pr2Sm4TmSc
_cell_length_a 5.0729
_cell_length_b 5.0882
_cell_length_c 10.1134
_cell_angle_alpha 90.00
_cell_angle_beta 90.06
_cell_angle_gamma 90.00
_symmetry_space_group_name_H-M 'P 1 2/m 1'
_symmetry_Int_Tables_number 10
loop_
_symmetry_equiv_pos_as_xyz
'x,y,z'
'-x,-y,-z'
'-x,y,-z'
'x,-y,z'
loop_
_atom_site_label
_atom_site_fract_x
_atom_site_fract_y
_atom_site_fract_z
Pr1 0.0000 0.0000 0.0000
Pr2 0.5000 0.5000 0.5000
Sm1 0.0001 0.5000 0.2460
Sm2 0.5003 0.0000 0.2467
Tm1 0.0000 0.0000 0.5000
Sc1 0.5000 0.5000 0.0000
```

Largest 12 diffraction maxima, by intensity, 15° ≤ 2θ ≤ 90°:
- 2θ = 30.5°, intensity 100.0, hkl 1 1 2
- 2θ = 50.9°, intensity 23.9, hkl 2 2 0
- 2θ = 35.3°, intensity 17.0, hkl 0 2 0
- 2θ = 35.4°, intensity 16.9, hkl 2 0 0
- 2θ = 35.5°, intensity 16.6, hkl 0 0 4
- 2θ = 60.4°, intensity 14.3, hkl 1 3 2
- 2θ = 60.5°, intensity 14.2, hkl 3 1 2
- 2θ = 60.7°, intensity 13.9, hkl 1 1 6
- 2θ = 63.5°, intensity 12.2, hkl 2 2 4
- 2θ = 51.0°, intensity 11.9, hkl 2 0 4
- 2θ = 83.0°, intensity 8.6, hkl 1 3 6
- 2θ = 82.8°, intensity 5.8, hkl 3 3 2



Entry 12:
# PrSmTmSc
Computed X-ray diffraction stick pattern, Cu Kα (weighted mean of Kα1 and Kα2). Input: the PBE geometry in Alexandria.

Crystal structure
```
data_PrSmTmSc
_cell_length_a 12.1573
_cell_length_b 5.6721
_cell_length_c 3.8181
_cell_angle_alpha 90.00
_cell_angle_beta 108.27
_cell_angle_gamma 90.00
_symmetry_space_group_name_H-M 'C 1 m 1'
_symmetry_Int_Tables_number 8
loop_
_symmetry_equiv_pos_as_xyz
'x,y,z'
'x,-y,z'
'x+1/2,y+1/2,z'
'x+1/2,-y+1/2,z'
loop_
_atom_site_label
_atom_site_fract_x
_atom_site_fract_y
_atom_site_fract_z
Pr1 0.0000 0.0000 0.0000
Sm1 0.2762 0.0000 0.7779
Tm1 0.0384 0.5000 0.5385
Sc1 0.2647 0.5000 0.2654
```

Largest 12 diffraction maxima, by intensity, 15° ≤ 2θ ≤ 90°:
- 2θ = 32.2°, intensity 100.0, hkl 1 1 1
- 2θ = 31.5°, intensity 27.5, hkl 0 2 0
- 2θ = 31.0°, intensity 24.8, hkl 4 0 0
- 2θ = 56.6°, intensity 20.0, hkl 1 3 1
- 2θ = 44.8°, intensity 17.9, hkl 4 2 0
- 2θ = 55.9°, intensity 15.2, hkl 7 1 -1
- 2θ = 58.3°, intensity 13.7, hkl 2 2 -2
- 2θ = 28.0°, intensity 13.2, hkl 3 1 0
- 2θ = 67.5°, intensity 10.4, hkl 6 2 -2
- 2θ = 74.6°, intensity 10.3, hkl 4 4 0
- 2θ = 47.6°, intensity 8.7, hkl 2 0 -2
- 2θ = 57.9°, intensity 8.4, hkl 6 0 -2



Entry 13:
# PrSmY2Sc
Computed X-ray diffraction stick pattern, Cu Kα (weighted mean of Kα1 and Kα2). Input: the PBE geometry in Alexandria.

Crystal structure
```
data_PrSmY2Sc
_cell_length_a 3.6044
_cell_length_b 5.4852
_cell_length_c 8.4455
_cell_angle_alpha 90.00
_cell_angle_beta 90.00
_cell_angle_gamma 90.00
_symmetry_space_group_name_H-M 'P m m m'
_symmetry_Int_Tables_number 47
loop_
_symmetry_equiv_pos_as_xyz
'x,y,z'
'-x,-y,-z'
'-x,-y,z'
'x,y,-z'
'x,-y,-z'
'-x,y,z'
'-x,y,-z'
'x,-y,z'
loop_
_atom_site_label
_atom_site_fract_x
_atom_site_fract_y
_atom_site_fract_z
Pr1 0.0000 0.0000 0.0000
Sm1 0.5000 0.0000 0.5000
Y1 0.0000 0.5000 0.3116
Sc1 0.5000 0.5000 0.0000
```

Largest 12 diffraction maxima, by intensity, 15° ≤ 2θ ≤ 90°:
- 2θ = 31.5°, intensity 100.0, hkl 1 1 1
- 2θ = 26.6°, intensity 66.7, hkl 0 1 2
- 2θ = 32.7°, intensity 46.5, hkl 0 2 0
- 2θ = 40.7°, intensity 25.9, hkl 1 0 3
- 2θ = 53.1°, intensity 23.9, hkl 1 2 3
- 2θ = 63.1°, intensity 20.6, hkl 1 1 5
- 2θ = 21.0°, intensity 17.8, hkl 0 0 2
- 2θ = 57.6°, intensity 17.6, hkl 1 3 1
- 2θ = 42.8°, intensity 16.1, hkl 0 0 4
- 2θ = 58.1°, intensity 15.1, hkl 2 1 2
- 2θ = 26.9°, intensity 14.3, hkl 1 0 1
- 2θ = 61.6°, intensity 11.6, hkl 2 2 0